This entry pairs a crystal structure of Li4AlZn2Ni with its calculated XRD peak list. Radiation: Cu Kα (λ = 1.5418 Å). Structure: a structure optimized by DFT (GGA-PBE).

Structural model:
abc: 4.218 4.218 6.050
angles: 90.00 90.00 90.00
Positions (direct):
Li1 0.000 0.000 0.000
Li2 0.000 0.500 0.231
Li3 0.500 0.000 0.769
Li4 0.500 0.500 0.500
Al1 0.000 0.000 0.500
Zn1 0.000 0.500 0.768
Zn2 0.500 0.000 0.232
Ni1 0.500 0.500 0.000

Main lines, by intensity (2θ = 10–90°):
d (Å)  2θ/deg  Rel. int.
3.460  25.75  100
2.124  42.57  67
2.109  42.88  34
1.801  50.69  30
1.220  78.34  20
1.819  50.14  14
6.050  14.64  11
1.378  68.06  11
1.491  62.25  11
1.229  77.69  9



This entry pairs a crystal structure of Li4TlAg2Pb with its calculated XRD peak list. Radiation: Cu Kα (λ = 1.5418 Å). Structure: a structure optimized by DFT (GGA-PBE).

Structural model:
abc: 4.720 4.720 6.634
angles: 90.00 90.00 90.00
Positions (direct):
Li1 0.000 0.000 0.000
Li2 0.000 0.500 0.245
Li3 0.500 0.000 0.755
Li4 0.500 0.500 0.500
Tl1 0.500 0.500 0.000
Ag1 0.000 0.500 0.753
Ag2 0.500 0.000 0.247
Pb1 0.000 0.000 0.500

Main lines, by intensity (2θ = 10–90°):
d (Å)  2θ/deg  Rel. int.
3.846  23.13  100
2.353  38.26  58
2.011  45.07  35
2.360  38.13  29
1.361  69.00  20
2.002  45.29  17
1.527  60.65  14
1.669  55.03  10
1.357  69.24  10
1.284  73.78  8



This entry pairs a crystal structure of Tm3HfPb2C2 with its calculated XRD peak list. Radiation: Cu Kα (λ = 1.5418 Å). Structure: a structure optimized by DFT (GGA-PBE).

Structural model:
abc: 3.516 3.516 15.586
angles: 90.00 90.00 120.00
Positions (direct):
Tm1 0.000 0.000 0.000
Tm2 0.000 0.000 0.340
Tm3 0.667 0.333 0.832
Hf1 0.667 0.333 0.500
Pb1 0.000 0.000 0.660
Pb2 0.667 0.333 0.172
C1 0.333 0.667 0.430
C2 0.333 0.667 0.916

Main lines, by intensity (2θ = 10–90°):
d (Å)  2θ/deg  Rel. int.
2.627  34.13  100
3.045  29.33  23
1.758  52.02  21
1.456  63.95  21
2.598  34.53  20
1.505  61.61  18
1.461  63.70  17
1.976  45.92  15
1.124  86.65  15
1.143  84.79  7



This entry pairs a crystal structure of RbMgCd3Sb3 with its calculated XRD peak list. Radiation: Cu Kα (λ = 1.5418 Å). Structure: a structure optimized by DFT (GGA-PBE).

Structural model:
abc: 4.728 4.741 11.322
angles: 90.00 90.00 90.00
Positions (direct):
Rb1 0.000 0.000 0.000
Mg1 0.500 0.000 0.667
Cd1 0.000 0.500 0.333
Cd2 0.000 0.500 0.667
Cd3 0.500 0.000 0.334
Sb1 0.000 0.000 0.504
Sb2 0.500 0.500 0.185
Sb3 0.500 0.500 0.812

Main lines, by intensity (2θ = 10–90°):
d (Å)  2θ/deg  Rel. int.
3.632  24.51  100
2.504  35.86  98
1.983  45.76  37
2.370  37.96  35
2.364  38.06  35
3.210  27.79  33
1.476  62.99  26
4.366  20.34  25
2.161  41.79  24
1.674  54.85  24



This entry pairs a crystal structure of La2AgGe2Au with its calculated XRD peak list. Radiation: Cu Kα (λ = 1.5418 Å). Structure: a structure optimized by DFT (GGA-PBE).

Structural model:
abc: 4.546 4.546 8.124
angles: 90.00 90.00 120.00
Positions (direct):
La1 0.000 0.000 0.249
La2 0.000 0.000 0.751
Ag1 0.667 0.333 0.500
Ge1 0.333 0.667 0.500
Ge2 0.667 0.333 0.000
Au1 0.333 0.667 0.000

Main lines, by intensity (2θ = 10–90°):
d (Å)  2θ/deg  Rel. int.
2.827  31.65  100
2.273  39.65  56
1.515  61.20  31
1.772  51.59  25
1.397  66.97  23
3.543  25.13  14
2.031  44.62  13
1.102  88.75  12
1.312  71.94  10
1.280  74.04  9



This entry pairs a crystal structure of SmCu2S4 with its calculated XRD peak list. Radiation: Cu Kα (λ = 1.5418 Å). Structure: a structure optimized by DFT (GGA-PBE).

Structural model:
abc: 7.486 7.486 6.903
angles: 116.97 116.97 99.09
Positions (direct):
Sm1 0.125 0.875 0.750
Sm2 0.875 0.125 0.250
Cu1 0.000 0.500 0.000
Cu2 0.500 0.000 0.500
Cu3 0.500 0.500 0.000
Cu4 0.500 0.500 0.500
S1 0.143 0.286 0.811
S2 0.172 0.530 0.383
S3 0.286 0.143 0.311
S4 0.470 0.828 0.117
S5 0.530 0.172 0.883
S6 0.714 0.857 0.689
S7 0.828 0.470 0.617
S8 0.857 0.714 0.189

Main lines, by intensity (2θ = 10–90°):
d (Å)  2θ/deg  Rel. int.
2.976  30.03  100
3.001  29.77  100
3.330  26.78  73
2.164  41.73  57
3.696  24.08  50
3.731  23.85  50
2.965  30.14  42
1.865  48.82  35
1.848  49.31  33
1.977  45.90  28



This entry pairs a crystal structure of Y2ErFeCo2Ni6 with its calculated XRD peak list. Radiation: Cu Kα (λ = 1.5418 Å). Structure: a structure optimized by DFT (GGA-PBE).

Structural model:
abc: 8.588 8.588 8.588
angles: 33.45 33.45 33.45
Positions (direct):
Y1 0.140 0.140 0.140
Y2 0.860 0.860 0.860
Er1 0.000 0.000 0.000
Fe1 0.500 0.500 0.500
Co1 0.333 0.333 0.333
Co2 0.667 0.667 0.667
Ni1 0.084 0.580 0.580
Ni2 0.420 0.420 0.916
Ni3 0.420 0.916 0.420
Ni4 0.580 0.084 0.580
Ni5 0.580 0.580 0.084
Ni6 0.916 0.420 0.420

Main lines, by intensity (2θ = 10–90°):
d (Å)  2θ/deg  Rel. int.
2.110  42.86  100
2.474  36.31  72
2.697  33.22  40
2.132  42.39  40
1.346  69.89  22
1.236  77.19  21
2.025  44.76  19
1.428  65.36  19
2.108  42.90  17
1.959  46.35  14